The following is a computed powder diffraction line list of BaSrMg6O8. It was derived from a crystal structure in the Materials Project, relaxed with PBE, using CuKα.
No peak broadening, texture or thermal motion is included.

Peak list (10 most intense, 5 to 70 degrees two-theta, sorted by position)
- d 9.094, 2θ = 9.7°, I = 83, hkl 0 0 1
- d 4.547, 2θ = 19.5°, I = 33, hkl 0 0 2
- d 3.401, 2θ = 26.2°, I = 28, hkl 1 1 0
- d 3.185, 2θ = 28.0°, I = 51, hkl 1 1 1
- d 3.031, 2θ = 29.5°, I = 25, hkl 0 0 3
- d 2.723, 2θ = 32.9°, I = 63, hkl 1 1 2
- d 2.405, 2θ = 37.4°, I = 100, hkl 2 0 0
- d 2.274, 2θ = 39.6°, I = 35, hkl 0 0 4
- d 1.700, 2θ = 53.9°, I = 32, hkl 2 2 0
- d 1.652, 2θ = 55.6°, I = 48, hkl 2 0 4

Crystal structure
a = 4.8094 Å, b = 4.8094 Å, c = 9.0942 Å
α = 90.00°, β = 90.00°, γ = 90.00°
Space group P4/mmm (No. 123)
One atom of each set of equivalent atoms:
Ba 0.0000 0.0000 0.0000
Sr 0.5000 0.5000 0.0000
Mg 0.0000 0.0000 0.5000
Mg 0.0000 0.5000 0.2783
Mg 0.5000 0.5000 0.5000
O 0.0000 0.0000 0.2846
O 0.0000 0.5000 0.0000
O 0.0000 0.5000 0.5000
O 0.5000 0.5000 0.2769